Entry 1:
For Y12Tm7Al, the PBE geometry in Alexandria gives the calculated X-ray diffraction stick pattern in this record (copper Kα).
Neutral-atom scattering factors, no anomalous dispersion.

Structure:
```
Y12Tm7Al
1.0
6.7678 3.9074 3.8993
-6.7678 3.9074 3.8993
0.0000 -7.8148 3.8993
Y Tm Al
12 7 1
direct
0.0000 0.2602 0.7398 Y
0.0000 0.7398 0.2602 Y
0.1628 0.1628 0.4206 Y
0.1628 0.4206 0.1628 Y
0.2602 0.0000 0.7398 Y
0.2602 0.7398 0.0000 Y
0.4206 0.1628 0.1628 Y
0.5794 0.8372 0.8372 Y
0.7398 0.0000 0.2602 Y
0.7398 0.2602 0.0000 Y
0.8372 0.5794 0.8372 Y
0.8372 0.8372 0.5794 Y
0.0000 0.0000 0.0000 Tm
0.1849 0.5920 0.5920 Tm
0.4080 0.4080 0.8151 Tm
0.4080 0.8151 0.4080 Tm
0.5920 0.1849 0.5920 Tm
0.5920 0.5920 0.1849 Tm
0.8151 0.4080 0.4080 Tm
0.5000 0.5000 0.5000 Al
```

Principal peaks in the range 10 to 80 degrees two-theta, sorted by position:
d_spacing	2θ (°)	I/Imax
5.239	16.9	17
2.841	31.5	100
2.760	32.4	46
2.620	34.2	37
2.443	36.8	17
1.657	55.5	16
1.609	57.2	20
1.552	59.6	12

Entry 2:
For Tm2Al8Zn, the PBE geometry in Alexandria gives the calculated X-ray diffraction stick pattern in this record (copper Kα).
Neutral-atom scattering factors, no anomalous dispersion.

Structure:
```
Tm2Al8Zn
1.0
4.2656 0.0000 0.0000
0.0000 4.2656 0.0000
0.0000 0.0000 11.3307
Tm Al Zn
2 8 1
direct
0.0000 0.0000 0.1843 Tm
0.0000 0.0000 0.8157 Tm
0.0000 0.5000 0.0000 Al
0.0000 0.5000 0.3706 Al
0.0000 0.5000 0.6294 Al
0.5000 0.0000 0.0000 Al
0.5000 0.0000 0.3706 Al
0.5000 0.0000 0.6294 Al
0.5000 0.5000 0.1910 Al
0.5000 0.5000 0.8090 Al
0.0000 0.0000 0.5000 Zn
```

Principal peaks in the range 10 to 80 degrees two-theta, sorted by position:
d_spacing	2θ (°)	I/Imax
4.266	20.8	87
3.016	29.6	26
2.828	31.6	58
2.662	33.7	25
2.357	38.2	100
2.133	42.4	44
1.703	53.8	26
1.270	74.7	27

Entry 3:
For Tm2AlZn16, the PBE geometry in Alexandria gives the calculated X-ray diffraction stick pattern in this record (copper Kα).
Neutral-atom scattering factors, no anomalous dispersion.

Structure:
```
Tm2AlZn16
1.0
4.4771 2.5848 4.3740
-4.4771 2.5848 4.3740
0.0000 -5.1697 4.3740
Tm Al Zn
2 1 16
direct
0.0000 0.0000 0.0000 Tm
0.3297 0.3297 0.3297 Tm
0.7620 0.7620 0.7620 Al
0.0173 0.0173 0.5014 Zn
0.0173 0.5014 0.0173 Zn
0.1672 0.6636 0.6636 Zn
0.3123 0.3123 0.8296 Zn
0.3123 0.8296 0.3123 Zn
0.3628 0.6647 0.9668 Zn
0.3628 0.9668 0.6647 Zn
0.5014 0.0173 0.0173 Zn
0.5636 0.5636 0.5636 Zn
0.6636 0.1672 0.6636 Zn
0.6636 0.6636 0.1672 Zn
0.6647 0.3628 0.9668 Zn
0.6647 0.9668 0.3628 Zn
0.8296 0.3123 0.3123 Zn
0.9668 0.3628 0.6647 Zn
0.9668 0.6647 0.3628 Zn
```

Principal peaks in the range 10 to 80 degrees two-theta, sorted by position:
d_spacing	2θ (°)	I/Imax
3.129	28.5	30
2.585	34.7	34
2.239	40.3	49
2.225	40.5	100
2.187	41.3	42
1.993	45.5	23
1.564	59.1	21
1.270	74.8	19

Entry 4:
For Tm4AlZn3, the PBE geometry in Alexandria gives the calculated X-ray diffraction stick pattern in this record (copper Kα).
Neutral-atom scattering factors, no anomalous dispersion.

Structure:
```
Tm4AlZn3
1.0
3.5383 0.0000 0.0000
0.0000 4.9875 0.0000
0.0000 0.0000 9.9709
Tm Al Zn
4 1 3
direct
0.0000 0.0000 0.0000 Tm
0.0000 0.0000 0.5000 Tm
0.0000 0.5000 0.2471 Tm
0.0000 0.5000 0.7529 Tm
0.5000 0.5000 0.5000 Al
0.5000 0.0000 0.2515 Zn
0.5000 0.0000 0.7485 Zn
0.5000 0.5000 0.0000 Zn
```

Principal peaks in the range 10 to 80 degrees two-theta, sorted by position:
d_spacing	2θ (°)	I/Imax
3.530	25.2	27
2.496	36.0	100
2.038	44.5	8
1.763	51.9	12
1.577	58.5	8
1.443	64.6	12
1.440	64.7	24
1.249	76.2	7

Entry 5:
For TmAl4Zn, the PBE geometry in Alexandria gives the calculated X-ray diffraction stick pattern in this record (copper Kα).
Neutral-atom scattering factors, no anomalous dispersion.

Structure:
```
TmAl4Zn
1.0
4.1853 0.0000 0.0000
0.0000 12.6822 0.0000
0.0000 0.0000 4.1256
Tm Al Zn
2 8 2
direct
0.0000 0.0000 0.0000 Tm
0.5000 0.5000 0.0000 Tm
0.0000 0.1746 0.5000 Al
0.0000 0.3248 0.0000 Al
0.0000 0.6752 0.0000 Al
0.0000 0.8254 0.5000 Al
0.5000 0.1752 0.0000 Al
0.5000 0.3254 0.5000 Al
0.5000 0.6746 0.5000 Al
0.5000 0.8248 0.0000 Al
0.0000 0.5000 0.5000 Zn
0.5000 0.0000 0.5000 Zn
```

Principal peaks in the range 10 to 80 degrees two-theta, sorted by position:
d_spacing	2θ (°)	I/Imax
6.341	14.0	66
3.974	22.4	14
3.171	28.1	18
2.862	31.2	48
2.413	37.3	100
2.114	42.8	17
2.093	43.2	17
2.063	43.9	16

Entry 6:
For Tm2AlZn5, the PBE geometry in Alexandria gives the calculated X-ray diffraction stick pattern in this record (copper Kα).
Neutral-atom scattering factors, no anomalous dispersion.

Structure:
```
Tm2AlZn5
1.0
2.1265 -7.8757 0.0000
2.1265 7.8757 0.0000
0.0000 0.0000 8.9226
Tm Al Zn
4 2 10
direct
0.0000 0.0000 0.0000 Tm
0.0000 0.0000 0.5000 Tm
0.1973 0.8027 0.7500 Tm
0.8027 0.1973 0.2500 Tm
0.4480 0.5520 0.2500 Al
0.5520 0.4480 0.7500 Al
0.1905 0.8095 0.1066 Zn
0.1905 0.8095 0.3934 Zn
0.3536 0.6464 0.0229 Zn
0.3536 0.6464 0.4771 Zn
0.3942 0.6058 0.7500 Zn
0.6058 0.3942 0.2500 Zn
0.6464 0.3536 0.5229 Zn
0.6464 0.3536 0.9771 Zn
0.8095 0.1905 0.6066 Zn
0.8095 0.1905 0.8934 Zn
```

Principal peaks in the range 10 to 80 degrees two-theta, sorted by position:
d_spacing	2θ (°)	I/Imax
3.882	22.9	34
2.656	33.8	100
2.625	34.2	22
2.531	35.5	90
2.409	37.3	65
2.127	42.5	45
1.968	46.1	19
1.356	69.3	25

Entry 7:
For TmAl2Zn10, the PBE geometry in Alexandria gives the calculated X-ray diffraction stick pattern in this record (copper Kα).
Neutral-atom scattering factors, no anomalous dispersion.

Structure:
```
TmAl2Zn10
1.0
5.3700 0.0000 0.0000
2.6175 6.2239 0.0000
2.6612 -0.0039 6.2314
Tm Al Zn
1 2 10
direct
0.0000 0.0000 0.0000 Tm
0.0000 0.0000 0.5000 Al
0.5000 0.0000 0.5000 Al
0.0000 0.5000 0.0000 Zn
0.0009 0.3540 0.6478 Zn
0.2841 0.2161 0.2119 Zn
0.3529 0.6453 0.6474 Zn
0.4973 0.2166 0.7877 Zn
0.5000 0.5000 0.0000 Zn
0.5027 0.7834 0.2123 Zn
0.6471 0.3547 0.3526 Zn
0.7159 0.7839 0.7881 Zn
0.9991 0.6460 0.3522 Zn
```

Principal peaks in the range 10 to 80 degrees two-theta, sorted by position:
d_spacing	2θ (°)	I/Imax
2.685	33.4	69
2.584	34.7	64
2.568	34.9	63
2.300	39.2	69
2.231	40.4	95
2.225	40.6	62
2.217	40.7	62
2.202	41.0	100

Entry 8:
For Tm3Al2Zn4, the PBE geometry in Alexandria gives the calculated X-ray diffraction stick pattern in this record (copper Kα).
Neutral-atom scattering factors, no anomalous dispersion.

Structure:
```
Tm3Al2Zn4
1.0
5.1913 -2.2344 0.0000
5.1913 2.2344 0.0000
-3.4625 0.0000 7.7139
Tm Al Zn
3 2 4
direct
0.0000 0.0000 0.0000 Tm
0.3367 0.3367 0.3266 Tm
0.6633 0.6633 0.6734 Tm
0.3837 0.3837 0.7181 Al
0.6163 0.6163 0.2819 Al
0.0728 0.0728 0.4071 Zn
0.2874 0.2874 0.9553 Zn
0.7126 0.7126 0.0447 Zn
0.9272 0.9272 0.5929 Zn
```

Principal peaks in the range 10 to 80 degrees two-theta, sorted by position:
d_spacing	2θ (°)	I/Imax
3.867	23.0	43
2.577	34.8	100
2.571	34.9	19
2.233	40.4	62
1.688	54.4	27
1.347	69.8	21
1.344	70.0	10
1.290	73.4	9

Entry 9:
For Tm3Al3Zn8, the PBE geometry in Alexandria gives the calculated X-ray diffraction stick pattern in this record (copper Kα).
Neutral-atom scattering factors, no anomalous dispersion.

Structure:
```
Tm3Al3Zn8
1.0
-2.1181 4.7358 6.2253
2.1181 -4.7358 6.2253
2.1181 4.7358 -6.2253
Tm Al Zn
3 3 8
direct
0.0000 0.0000 0.0000 Tm
0.3021 0.3021 0.0000 Tm
0.6979 0.6979 0.0000 Tm
0.2968 0.5000 0.7968 Al
0.5000 0.0000 0.5000 Al
0.7032 0.5000 0.2032 Al
0.0302 0.6612 0.3690 Zn
0.1358 0.8595 0.2762 Zn
0.2921 0.6612 0.6310 Zn
0.4167 0.1405 0.2762 Zn
0.5833 0.8595 0.7238 Zn
0.7079 0.3388 0.3690 Zn
0.8642 0.1405 0.7238 Zn
0.9698 0.3388 0.6310 Zn
```

Principal peaks in the range 10 to 80 degrees two-theta, sorted by position:
d_spacing	2θ (°)	I/Imax
2.965	30.1	23
2.601	34.5	20
2.531	35.5	46
2.513	35.7	100
2.425	37.1	21
2.118	42.7	29
1.642	56.0	14
1.348	69.8	18

Entry 10:
For TmAl3Zn3, the PBE geometry in Alexandria gives the calculated X-ray diffraction stick pattern in this record (copper Kα).
Neutral-atom scattering factors, no anomalous dispersion.

Structure:
```
TmAl3Zn3
1.0
3.8359 2.2147 5.2765
-3.8359 2.2147 5.2765
0.0000 -4.4293 5.2765
Tm Al Zn
2 6 6
direct
0.1725 0.1725 0.1725 Tm
0.8275 0.8275 0.8275 Tm
0.0339 0.7222 0.3746 Al
0.2778 0.6254 0.9661 Al
0.3746 0.0339 0.7222 Al
0.6254 0.9661 0.2778 Al
0.7222 0.3746 0.0339 Al
0.9661 0.2778 0.6254 Al
0.1786 0.4468 0.7237 Zn
0.2763 0.8214 0.5532 Zn
0.4468 0.7237 0.1786 Zn
0.5532 0.2763 0.8214 Zn
0.7237 0.1786 0.4468 Zn
0.8214 0.5532 0.2763 Zn
```

Principal peaks in the range 10 to 80 degrees two-theta, sorted by position:
d_spacing	2θ (°)	I/Imax
5.276	16.8	100
3.251	27.4	31
3.103	28.8	81
3.063	29.2	34
2.394	37.6	35
2.215	40.7	85
2.174	41.5	99
2.042	44.4	34

Entry 11:
For U4Al, the PBE geometry in Alexandria gives the calculated X-ray diffraction stick pattern in this record (copper Kα).
Neutral-atom scattering factors, no anomalous dispersion.

Structure:
```
U4Al
1.0
0.0000 5.0760 5.0760
5.0760 0.0000 5.0760
5.0760 5.0760 0.0000
U Al
8 2
direct
0.1471 0.7843 0.7843 U
0.2157 0.2157 0.2157 U
0.2157 0.2157 0.8529 U
0.2157 0.8529 0.2157 U
0.7843 0.1471 0.7843 U
0.7843 0.7843 0.1471 U
0.7843 0.7843 0.7843 U
0.8529 0.2157 0.2157 U
0.3750 0.3750 0.3750 Al
0.6250 0.6250 0.6250 Al
```

Principal peaks in the range 10 to 80 degrees two-theta, sorted by position:
d_spacing	2θ (°)	I/Imax
5.861	15.1	76
3.589	24.8	19
2.931	30.5	100
2.538	35.4	35
2.329	38.7	42
1.954	46.5	79
1.692	54.2	30
1.422	65.7	32